No. 1
Computed PXRD pattern
Compound: MnIn2Te4
Radiation: a wavelength of 1.5418 Å
Structure: a crystal structure in Alexandria, relaxed with PBE
Neutral-atom scattering factors, no anomalous dispersion.

Crystal structure
```
MnIn2Te4
1.0
6.309 0.000 0.000
0.000 6.309 0.000
0.000 0.000 12.554
Mn In Te
2 4 8
direct
0.000 0.000 0.000 Mn
0.500 0.500 0.500 Mn
0.000 0.500 0.250 In
0.000 0.500 0.750 In
0.500 0.000 0.250 In
0.500 0.000 0.750 In
0.234 0.234 0.609 Te
0.234 0.766 0.391 Te
0.266 0.266 0.109 Te
0.266 0.734 0.891 Te
0.734 0.266 0.891 Te
0.734 0.734 0.109 Te
0.766 0.234 0.391 Te
0.766 0.766 0.609 Te
```

Main lines, sorted by position (10° ≤ 2θ ≤ 80°):
d = 3.636 Å, I = 100; d = 2.819 Å, I = 12; d = 2.567 Å, I = 9; d = 2.231 Å, I = 24; d = 2.225 Å, I = 45; d = 1.901 Å, I = 30; d = 1.894 Å, I = 12; d = 1.577 Å, I = 8; d = 1.444 Å, I = 10; d = 1.287 Å, I = 13

***

No. 2
Computed PXRD pattern
Compound: Cs4Ce3NiSe8
Radiation: a wavelength of 1.5418 Å
Structure: a crystal structure in Alexandria, relaxed with PBE
Neutral-atom scattering factors, no anomalous dispersion.

Crystal structure
```
Cs4Ce3NiSe8
1.0
7.553 -4.259 0.000
7.553 4.259 0.000
-4.984 0.000 8.325
Cs Ce Ni Se
4 3 1 8
direct
0.000 0.000 0.000 Cs
0.000 0.500 0.000 Cs
0.500 0.000 0.000 Cs
0.500 0.500 0.000 Cs
0.000 0.000 0.500 Ce
0.000 0.500 0.500 Ce
0.500 0.000 0.500 Ce
0.500 0.500 0.500 Ni
0.229 0.229 0.691 Se
0.248 0.709 0.671 Se
0.263 0.263 0.308 Se
0.291 0.752 0.329 Se
0.709 0.248 0.671 Se
0.737 0.737 0.692 Se
0.752 0.291 0.329 Se
0.771 0.771 0.309 Se
```

Main lines, sorted by position (10° ≤ 2θ ≤ 80°):
d = 4.163 Å, I = 15; d = 3.240 Å, I = 56; d = 3.185 Å, I = 100; d = 2.399 Å, I = 14; d = 2.392 Å, I = 32; d = 2.167 Å, I = 39; d = 2.129 Å, I = 18; d = 2.069 Å, I = 11; d = 1.779 Å, I = 19; d = 1.610 Å, I = 14

***

No. 3
Computed PXRD pattern
Compound: TaTcP4
Radiation: a wavelength of 1.5418 Å
Structure: a crystal structure in Alexandria, relaxed with PBE
Neutral-atom scattering factors, no anomalous dispersion.

Crystal structure
```
TaTcP4
1.0
0.000 3.485 3.485
3.485 0.000 3.485
3.485 3.485 0.000
Ta Tc P
1 1 4
direct
0.000 0.000 0.000 Ta
0.750 0.750 0.750 Tc
0.375 0.375 0.375 P
0.375 0.375 0.876 P
0.375 0.876 0.375 P
0.876 0.375 0.375 P
```

Main lines, sorted by position (10° ≤ 2θ ≤ 80°):
d = 4.024 Å, I = 56; d = 3.485 Å, I = 8; d = 2.464 Å, I = 90; d = 2.101 Å, I = 100; d = 2.012 Å, I = 9; d = 1.742 Å, I = 5; d = 1.599 Å, I = 14; d = 1.423 Å, I = 32; d = 1.341 Å, I = 31; d = 1.232 Å, I = 20

***

- What is the formula in the second record?
  Cs4Ce3NiSe8

***

- What is the formula in the first record?
  MnIn2Te4